Starting from a PBE-relaxed structure, the powder X-ray diffraction pattern of Pr2Dy2YTm2 was computed for Cu Kα.
Intensities are scaled so that the largest is 1000.

Cell and atoms:
Cell lengths 12.0421, 12.0421, 12.0421 Å; angles 163.10, 153.27, 31.79 degrees
Fractional positions:
Pr (0.0717, 0.0717, 0.0000)
Pr (0.9283, 0.9283, 0.0000)
Dy (0.3544, 0.8544, 0.5000)
Dy (0.6456, 0.1456, 0.5000)
Y (0.5000, 0.5000, 0.0000)
Tm (0.2096, 0.7096, 0.5000)
Tm (0.7904, 0.2904, 0.5000)

Peak list (10 most intense, 15° ≤ 2θ ≤ 90°, most intense first)
| two_theta | I (rel.) |
| --- | --- |
| 31.5 | 1000 |
| 30.9 | 839 |
| 32.2 | 480 |
| 31.8 | 374 |
| 61.7 | 291 |
| 45.9 | 272 |
| 56.9 | 186 |
| 43.5 | 185 |
| 38.1 | 161 |
| 55.1 | 159 |

***

Starting from a PBE-relaxed structure, the powder X-ray diffraction pattern of ThMgAlGe2 was computed for Cu Kα.
Intensities are scaled so that the largest is 1000.

Cell and atoms:
Cell lengths 5.9756, 5.9756, 10.6005 Å; angles 119.04, 119.04, 42.23 degrees
Fractional positions:
Th (0.2100, 0.2100, 0.1494)
Th (0.7900, 0.7900, 0.8506)
Mg (0.3726, 0.3726, 0.5645)
Mg (0.6274, 0.6274, 0.4355)
Al (0.0436, 0.0436, 0.7773)
Al (0.9564, 0.9564, 0.2227)
Ge (0.1360, 0.1360, 0.6012)
Ge (0.4796, 0.4796, 0.1139)
Ge (0.5204, 0.5204, 0.8861)
Ge (0.8640, 0.8640, 0.3988)

Peak list (10 most intense, 15° ≤ 2θ ≤ 90°, most intense first)
| two_theta | I (rel.) |
| --- | --- |
| 26.7 | 1000 |
| 32.2 | 925 |
| 33.3 | 743 |
| 40.7 | 667 |
| 18.7 | 413 |
| 35.1 | 363 |
| 42.0 | 328 |
| 29.6 | 287 |
| 44.1 | 242 |
| 52.2 | 197 |

***

Starting from a PBE-relaxed structure, the powder X-ray diffraction pattern of Pm2Dy7Ho4 was computed for Cu Kα.
Intensities are scaled so that the largest is 1000.

Cell and atoms:
Cell lengths 6.3374, 6.4104, 11.7095 Å; angles 88.36, 78.68, 64.81 degrees
Fractional positions:
Pm (0.0754, 0.2071, 0.0165)
Pm (0.9246, 0.7929, 0.9835)
Dy (0.0041, 0.5683, 0.2451)
Dy (0.1645, 0.8696, 0.6954)
Dy (0.4455, 0.9984, 0.1846)
Dy (0.5000, 0.5000, 0.0000)
Dy (0.5545, 0.0016, 0.8154)
Dy (0.8355, 0.1304, 0.3046)
Dy (0.9959, 0.4317, 0.7549)
Ho (0.2284, 0.2146, 0.4724)
Ho (0.3703, 0.6569, 0.3932)
Ho (0.6297, 0.3431, 0.6068)
Ho (0.7716, 0.7854, 0.5276)

Peak list (10 most intense, 15° ≤ 2θ ≤ 90°, most intense first)
| two_theta | I (rel.) |
| --- | --- |
| 31.4 | 1000 |
| 32.9 | 994 |
| 31.2 | 958 |
| 30.6 | 735 |
| 33.6 | 631 |
| 32.1 | 565 |
| 28.7 | 481 |
| 33.8 | 478 |
| 26.8 | 289 |
| 32.5 | 274 |